(1)
The following is a calculated powder X-ray diffraction pattern of LaTb2HoEr. It was derived from a DFT-relaxed cell (GGA-PBE, Alexandria), using copper Kα.
Intensities are scaled so that the largest is 100.

Structure:
```
5
Lattice="3.6221 0.0000 0.0000 0.0000 5.5819 0.0000 0.0000 0.0000 8.5755" Properties=species:S:1:pos:R:3 pbc="T T T"
La 0.0000 0.0000 0.0000
Tb 0.0000 2.7909 2.7498
Tb 0.0000 2.7909 5.8257
Ho 1.8111 2.7909 0.0000
Er 1.8111 0.0000 4.2877
```

Largest 10 diffraction maxima, in order of rising 2θ, 2θ = 10–90°:
two_theta  I/Imax
26.21  22
31.24  100
32.07  35
32.36  17
35.28  22
36.24  18
46.20  13
52.30  14
56.64  16
62.15  18



(2)
The following is a calculated powder X-ray diffraction pattern of AcSm2IO8. It was derived from a DFT-relaxed cell (GGA-PBE, Alexandria), using copper Kα.
Intensities are scaled so that the largest is 100.

Structure:
```
12
Lattice="5.1733 0.0000 0.0000 0.0000 7.2185 0.0000 -0.0784 0.0000 5.1761" Properties=species:S:1:pos:R:3 pbc="T T T"
Ac 0.0000 0.0000 0.0000
Sm 2.5475 1.8244 2.5880
Sm 2.5475 5.3940 2.5880
I 0.0000 3.6092 0.0000
O 0.9225 2.2166 0.9449
O 0.9225 5.0018 0.9449
O 1.2844 3.6092 3.8427
O 1.6139 0.0000 3.5214
O 3.4811 0.0000 1.6547
O 3.8106 3.6092 1.3334
O 4.1725 2.2166 4.2311
O 4.1725 5.0018 4.2311
```

Largest 10 diffraction maxima, in order of rising 2θ, 2θ = 10–90°:
two_theta  I/Imax
24.14  52
24.51  52
30.19  100
34.67  28
46.41  37
46.84  37
55.94  10
56.98  11
59.39  21
62.78  12



(3)
The following is a calculated powder X-ray diffraction pattern of Cd5CuPd2. It was derived from a DFT-relaxed cell (GGA-PBE, Alexandria), using copper Kα.
Intensities are scaled so that the largest is 100.

Structure:
```
16
Lattice="4.5614 0.0000 0.0000 -2.2807 3.9503 0.0000 0.0000 0.0000 18.0180" Properties=species:S:1:pos:R:3 pbc="T T T"
Cd 0.0000 0.0000 2.8530
Cd 0.0000 0.0000 6.1560
Cd 0.0000 0.0000 11.8620
Cd 0.0000 0.0000 15.1650
Cd 0.0000 2.6335 0.8837
Cd 0.0000 2.6335 4.5045
Cd 0.0000 2.6335 8.1253
Cd 2.2807 1.3168 9.8927
Cd 2.2807 1.3168 13.5135
Cd 2.2807 1.3168 17.1343
Cu 0.0000 2.6335 13.5135
Cu 2.2807 1.3168 4.5045
Pd 0.0000 2.6335 10.9367
Pd 0.0000 2.6335 16.0902
Pd 2.2807 1.3168 1.9277
Pd 2.2807 1.3168 7.0813
```

Largest 10 diffraction maxima, in order of rising 2θ, 2θ = 10–90°:
two_theta  I/Imax
24.61  14
30.09  20
33.66  33
37.63  52
39.51  100
41.89  22
55.70  16
70.43  15
71.67  16
85.07  10



(4)
The following is a calculated powder X-ray diffraction pattern of TbBe8As6. It was derived from a DFT-relaxed cell (GGA-PBE, Alexandria), using copper Kα.
Intensities are scaled so that the largest is 100.

Structure:
```
30
Lattice="6.6653 0.0000 0.0000 -3.3326 5.7723 0.0000 0.0000 0.0000 12.2080" Properties=species:S:1:pos:R:3 pbc="T T T"
Tb 0.0000 0.0000 0.0000
Tb 0.0000 0.0000 6.1040
Be -1.1918 2.0643 1.9951
Be -1.2526 2.1695 4.1780
Be -2.0801 3.6028 10.2821
Be -2.1408 3.7080 8.0991
Be 0.0000 3.8482 5.3126
Be 0.0000 3.8482 11.4166
Be 2.3836 0.0000 1.9951
Be 1.1918 2.0643 8.0991
Be 2.5052 0.0000 4.1780
Be 1.2526 2.1695 10.2821
Be 4.1601 0.0000 10.2821
Be 2.0801 3.6028 4.1780
Be 4.2816 0.0000 8.0991
Be 2.1408 3.7080 1.9951
Be 3.3326 1.9241 5.3126
Be 3.3326 1.9241 11.4166
As 0.0000 0.0000 3.0297
As 0.0000 0.0000 9.1337
As -1.4022 2.4286 6.3474
As -1.9305 3.3437 0.2433
As 0.0000 3.8482 3.0302
As 0.0000 3.8482 9.1342
As 2.8043 0.0000 6.3474
As 1.4022 2.4286 0.2433
As 3.8610 0.0000 0.2433
As 1.9305 3.3437 6.3474
As 3.3326 1.9241 3.0302
As 3.3326 1.9241 9.1342
```

Largest 10 diffraction maxima, in order of rising 2θ, 2θ = 10–90°:
two_theta  I/Imax
26.75  85
27.75  36
29.26  89
30.98  72
34.37  100
40.06  72
43.14  52
47.24  62
56.55  52
63.62  34



(5)
The following is a calculated powder X-ray diffraction pattern of Ag7Pt3. It was derived from a DFT-relaxed cell (GGA-PBE, Alexandria), using copper Kα.
Intensities are scaled so that the largest is 100.

Structure:
```
10
Lattice="4.1252 0.0000 0.0000 0.0000 2.0486 10.1014 0.0000 -2.0486 10.1014" Properties=species:S:1:pos:R:3 pbc="T T T"
Ag 0.0000 0.0000 0.0000
Ag 0.0000 0.0000 3.9874
Ag 0.0000 0.0000 7.9867
Ag 0.0000 0.0000 16.0733
Ag 2.0626 0.0000 2.0047
Ag 2.0626 0.0000 10.0854
Ag 2.0626 0.0000 18.0854
Pt 0.0000 0.0000 12.1281
Pt 2.0626 0.0000 5.9507
Pt 2.0626 0.0000 14.0890
```

Largest 10 diffraction maxima, in order of rising 2θ, 2θ = 10–90°:
two_theta  I/Imax
38.14  100
43.90  17
44.21  18
44.86  16
64.06  11
64.81  10
76.83  13
77.28  12
78.22  11
81.60  10



(6)
The following is a calculated powder X-ray diffraction pattern of LiAc2DyO5. It was derived from a DFT-relaxed cell (GGA-PBE, Alexandria), using copper Kα.
Intensities are scaled so that the largest is 100.

Structure:
```
9
Lattice="3.7490 0.0000 0.0000 0.0000 3.7490 0.0000 0.0000 0.0000 9.5055" Properties=species:S:1:pos:R:3 pbc="T T T"
Li 0.0000 0.0000 0.0000
Ac 1.8745 1.8745 1.7239
Ac 1.8745 1.8745 7.7816
Dy 0.0000 0.0000 4.7527
O 0.0000 0.0000 2.5803
O 0.0000 0.0000 6.9251
O 0.0000 1.8745 0.0000
O 1.8745 0.0000 0.0000
O 1.8745 1.8745 4.7527
```

Largest 10 diffraction maxima, in order of rising 2θ, 2θ = 10–90°:
two_theta  I/Imax
23.73  36
25.54  100
28.16  55
30.37  98
33.81  89
44.56  81
48.57  39
54.09  34
57.09  33
58.36  34



Copy entry 4 word for word.
The following is a calculated powder X-ray diffraction pattern of TbBe8As6. It was derived from a DFT-relaxed cell (GGA-PBE, Alexandria), using copper Kα.
Intensities are scaled so that the largest is 100.

Structure:
```
30
Lattice="6.6653 0.0000 0.0000 -3.3326 5.7723 0.0000 0.0000 0.0000 12.2080" Properties=species:S:1:pos:R:3 pbc="T T T"
Tb 0.0000 0.0000 0.0000
Tb 0.0000 0.0000 6.1040
Be -1.1918 2.0643 1.9951
Be -1.2526 2.1695 4.1780
Be -2.0801 3.6028 10.2821
Be -2.1408 3.7080 8.0991
Be 0.0000 3.8482 5.3126
Be 0.0000 3.8482 11.4166
Be 2.3836 0.0000 1.9951
Be 1.1918 2.0643 8.0991
Be 2.5052 0.0000 4.1780
Be 1.2526 2.1695 10.2821
Be 4.1601 0.0000 10.2821
Be 2.0801 3.6028 4.1780
Be 4.2816 0.0000 8.0991
Be 2.1408 3.7080 1.9951
Be 3.3326 1.9241 5.3126
Be 3.3326 1.9241 11.4166
As 0.0000 0.0000 3.0297
As 0.0000 0.0000 9.1337
As -1.4022 2.4286 6.3474
As -1.9305 3.3437 0.2433
As 0.0000 3.8482 3.0302
As 0.0000 3.8482 9.1342
As 2.8043 0.0000 6.3474
As 1.4022 2.4286 0.2433
As 3.8610 0.0000 0.2433
As 1.9305 3.3437 6.3474
As 3.3326 1.9241 3.0302
As 3.3326 1.9241 9.1342
```

Largest 10 diffraction maxima, in order of rising 2θ, 2θ = 10–90°:
two_theta  I/Imax
26.75  85
27.75  36
29.26  89
30.98  72
34.37  100
40.06  72
43.14  52
47.24  62
56.55  52
63.62  34